No. 1
Starting from a crystal structure in the Materials Project, relaxed with PBE, the PXRD pattern of Cu9Se5 was simulated for Cu Kα, 1.54184 Å.
Intensities are scaled so that the largest is 100.

Unit cell a=13.035 b=5.859 c=9.086 alpha=90.00 beta=134.06 gamma=90.00
Space group C2 (No. 5)
Symmetry-distinct sites (fractional):
Cu1 0.000 0.000 0.000
Cu2 0.106 0.519 0.415
Cu3 0.133 0.093 0.369
Cu4 0.163 0.585 0.826
Cu5 0.192 0.023 0.791
Se1 0.000 0.774 0.500
Se2 0.101 0.252 0.907
Se3 0.194 0.748 0.288

The 12 most intense peaks (2θ from 10° to 90°), low angle first:
d (Å), intensity, h k l
3.395, 42, 1 1 1
3.350, 81, 3 1 -2
2.929, 11, 0 2 0
2.081, 100, 2 0 2
2.055, 56, 2 2 -3
2.042, 16, 6 0 -4
1.784, 15, 5 1 0
1.768, 25, 1 3 1
1.764, 33, 7 1 -3
1.754, 12, 1 1 -4
1.736, 20, 5 1 -5
1.190, 13, 6 4 -4

No. 2
Starting from a crystal structure in the Materials Project, relaxed with PBE, the PXRD pattern of CuSe was simulated for Cu Kα, 1.54184 Å.
Intensities are scaled so that the largest is 100.

Unit cell a=4.009 b=6.993 c=17.435 alpha=90.00 beta=90.00 gamma=90.00
Space group Cmcm (No. 63)
Symmetry-distinct sites (fractional):
Cu1 0.000 0.134 0.250
Cu2 0.000 0.159 0.608
Se1 0.000 0.198 0.750
Se2 0.000 0.493 0.570

The 12 most intense peaks (2θ from 10° to 90°), low angle first:
d (Å), intensity, h k l
3.411, 45, 1 1 1
3.245, 50, 0 2 2
3.230, 97, 1 1 2
2.996, 23, 0 2 3
2.984, 24, 1 1 3
2.906, 100, 0 0 6
2.026, 26, 1 1 7
2.015, 87, 1 3 0
2.004, 53, 2 0 0
1.848, 80, 1 1 8
1.656, 61, 1 3 6
1.650, 35, 2 0 6

No. 3
Starting from a crystal structure in the Materials Project, relaxed with PBE, the PXRD pattern of Cu2Se was simulated for Cu Kα, 1.54184 Å.
Intensities are scaled so that the largest is 100.

Unit cell a=5.802 b=5.802 c=5.802 alpha=90.00 beta=90.00 gamma=90.00
Space group Fm-3m (No. 225)
Symmetry-distinct sites (fractional):
Cu1 0.250 0.250 0.250
Se1 0.000 0.000 0.000

The 10 most intense peaks (2θ from 10° to 90°), low angle first:
d (Å), intensity, h k l
3.350, 36, 1 1 1
2.901, 10, 2 0 0
2.051, 100, 2 2 0
1.749, 16, 3 1 1
1.675, 2, 2 2 2
1.451, 15, 4 0 0
1.331, 6, 3 3 1
1.297, 2, 4 2 0
1.184, 31, 4 2 2
1.117, 5, 5 1 1

Please write out number 3 again, unchanged.
Starting from a crystal structure in the Materials Project, relaxed with PBE, the PXRD pattern of Cu2Se was simulated for Cu Kα, 1.54184 Å.
Intensities are scaled so that the largest is 100.

Unit cell a=5.802 b=5.802 c=5.802 alpha=90.00 beta=90.00 gamma=90.00
Space group Fm-3m (No. 225)
Symmetry-distinct sites (fractional):
Cu1 0.250 0.250 0.250
Se1 0.000 0.000 0.000

The 10 most intense peaks (2θ from 10° to 90°), low angle first:
d (Å), intensity, h k l
3.350, 36, 1 1 1
2.901, 10, 2 0 0
2.051, 100, 2 2 0
1.749, 16, 3 1 1
1.675, 2, 2 2 2
1.451, 15, 4 0 0
1.331, 6, 3 3 1
1.297, 2, 4 2 0
1.184, 31, 4 2 2
1.117, 5, 5 1 1